Record 1
Structure and simulated X-ray powder pattern of Ge2C2Se3F6 (DFT lattice parameters and positions (GGA-PBE); a wavelength of 1.5418 Å).
Neutral-atom scattering factors, no anomalous dispersion.

Structure:
Lattice parameters (Å, degrees): 11.627 11.627 11.627 60.00 60.00 60.00
Sites, in units of the cell vectors:
1 Ge 0.106 0.798 0.798
2 Ge 0.202 0.202 0.202
3 Ge 0.202 0.202 0.894
4 Ge 0.202 0.894 0.202
5 Ge 0.798 0.106 0.798
6 Ge 0.798 0.798 0.106
7 Ge 0.798 0.798 0.798
8 Ge 0.894 0.202 0.202
9 C 0.274 0.274 0.274
10 C 0.274 0.274 0.678
11 C 0.274 0.678 0.274
12 C 0.322 0.726 0.726
13 C 0.678 0.274 0.274
14 C 0.726 0.322 0.726
15 C 0.726 0.726 0.322
16 C 0.726 0.726 0.726
17 Se 0.048 0.048 0.702
18 Se 0.048 0.702 0.048
19 Se 0.048 0.702 0.702
20 Se 0.298 0.298 0.952
21 Se 0.298 0.952 0.298
22 Se 0.298 0.952 0.952
23 Se 0.702 0.048 0.048
24 Se 0.702 0.048 0.702
25 Se 0.702 0.702 0.048
26 Se 0.952 0.298 0.298
27 Se 0.952 0.298 0.952
28 Se 0.952 0.952 0.298
29 F 0.165 0.355 0.355
30 F 0.165 0.355 0.625
31 F 0.165 0.625 0.355
32 F 0.355 0.165 0.355
33 F 0.355 0.165 0.625
34 F 0.355 0.355 0.165
35 F 0.355 0.355 0.625
36 F 0.355 0.625 0.165
37 F 0.355 0.625 0.355
38 F 0.375 0.645 0.645
39 F 0.375 0.645 0.835
40 F 0.375 0.835 0.645
41 F 0.625 0.165 0.355
42 F 0.625 0.355 0.165
43 F 0.625 0.355 0.355
44 F 0.645 0.375 0.645
45 F 0.645 0.375 0.835
46 F 0.645 0.645 0.375
47 F 0.645 0.645 0.835
48 F 0.645 0.835 0.375
49 F 0.645 0.835 0.645
50 F 0.835 0.375 0.645
51 F 0.835 0.645 0.375
52 F 0.835 0.645 0.645

Most intense lines, 10° ≤ 2θ ≤ 80°, in order of rising 2θ:
d (Å)  Rel. int.
4.747  689
3.772  586
3.356  1000
3.164  317
2.741  423
2.508  632
2.302  254
1.938  967
1.899  476
1.724  257

=====

Record 2
Structure and simulated X-ray powder pattern of EuMgSi (DFT lattice parameters and positions (GGA-PBE); a wavelength of 1.5418 Å).
Neutral-atom scattering factors, no anomalous dispersion.

Structure:
Lattice parameters (Å, degrees): 7.563 4.519 8.423 90.00 90.00 90.00
Sites, in units of the cell vectors:
1 Eu 0.018 0.250 0.186
2 Eu 0.482 0.750 0.686
3 Eu 0.518 0.250 0.314
4 Eu 0.982 0.750 0.814
5 Mg 0.150 0.250 0.565
6 Mg 0.350 0.750 0.065
7 Mg 0.650 0.250 0.935
8 Mg 0.850 0.750 0.435
9 Si 0.225 0.750 0.388
10 Si 0.275 0.250 0.888
11 Si 0.725 0.750 0.112
12 Si 0.775 0.250 0.612

Most intense lines, 10° ≤ 2θ ≤ 80°, in order of rising 2θ:
d (Å)  Rel. int.
4.212  199
3.982  626
3.782  286
2.853  703
2.814  275
2.742  1000
2.632  377
2.259  257
1.851  232
1.715  207

=====

Record 3
Structure and simulated X-ray powder pattern of MgH2Se2O6 (DFT lattice parameters and positions (GGA-PBE); a wavelength of 1.5418 Å).
Neutral-atom scattering factors, no anomalous dispersion.

Structure:
Lattice parameters (Å, degrees): 5.689 5.327 10.801 90.00 120.94 90.00
Sites, in units of the cell vectors:
1 Mg 0.000 0.000 0.000
2 Mg 0.000 0.500 0.500
3 H 0.299 0.045 0.528
4 H 0.299 0.455 0.028
5 H 0.701 0.545 0.972
6 H 0.701 0.955 0.472
7 Se 0.317 0.680 0.335
8 Se 0.317 0.820 0.835
9 Se 0.683 0.180 0.165
10 Se 0.683 0.320 0.665
11 O 0.170 0.583 0.717
12 O 0.170 0.917 0.217
13 O 0.250 0.747 0.969
14 O 0.250 0.753 0.469
15 O 0.319 0.221 0.570
16 O 0.319 0.279 0.070
17 O 0.681 0.721 0.930
18 O 0.681 0.779 0.430
19 O 0.750 0.247 0.531
20 O 0.750 0.253 0.031
21 O 0.830 0.083 0.783
22 O 0.830 0.417 0.283

Most intense lines, 10° ≤ 2θ ≤ 80°, in order of rising 2θ:
d (Å)  Rel. int.
4.816  218
4.619  272
3.598  946
3.572  718
3.495  1000
2.844  221
2.731  185
2.697  324
2.440  175
2.145  154